Structure and simulated X-ray diffraction stick pattern of Er4Tl2Ru (a GGA-PBE-relaxed structure; Cu Kα X-rays).
Lines closer than 0.1° are merged.

Crystal structure
Cell: 6.569 3.510 9.088 Å, 90.00 110.51 90.00°
Element x y z (fractional)
Er 0.124 0.000 0.258
Er 0.330 0.500 0.651
Er 0.670 0.500 0.349
Er 0.876 0.000 0.742
Tl 0.265 0.500 0.002
Tl 0.735 0.500 0.998
Ru 0.000 0.000 0.500

Principal peaks in the range 2θ = 15–90°, by angle:
2θ (°), intensity, (hkl)
29.3, 100.0, 1 1 0
29.7, 28.9, 1 0 -3
31.5, 34.8, 0 0 3
32.9, 57.2, 1 1 1
33.1, 66.7, 0 1 2
34.3, 57.9, 2 0 1
34.7, 51.8, 2 0 -3
38.9, 41.4, 2 1 0
39.1, 40.1, 2 1 -2
40.9, 47.1, 0 1 3